[1]
This entry pairs a crystal structure of AlRh5 with its calculated powder diffraction line list. Radiation: Cu Kα (weighted mean of Kα1 and Kα2). Structure: DFT lattice parameters and positions (PBE).

The 12 most intense peaks (2θ from 10° to 90°), sorted by position:
two_theta	d [Å]	Rel. int.
37.99	2.368	31
38.49	2.339	19
41.14	2.194	50
42.96	2.105	100
43.87	2.064	65
44.75	2.025	27
69.30	1.356	20
75.59	1.258	13
77.50	1.232	12
82.01	1.175	12
82.95	1.164	13
85.74	1.133	11

Atomic structure:
```
AlRh5
1.0
9.762 0.000 0.000
0.000 2.746 0.000
-1.806 0.000 6.315
Al Rh
2 10
Cartesian
0.000 0.000 0.000 Al
4.881 1.373 0.000 Al
-0.498 0.000 3.811 Rh
1.019 1.373 2.043 Rh
0.429 1.373 5.965 Rh
2.129 0.000 4.283 Rh
3.295 0.000 1.713 Rh
4.383 1.373 3.811 Rh
5.900 0.000 2.043 Rh
5.310 0.000 5.965 Rh
7.010 1.373 4.283 Rh
8.176 1.373 1.713 Rh
```

[2]
This entry pairs a crystal structure of Al7Rh4 with its calculated powder diffraction line list. Radiation: Cu Kα (weighted mean of Kα1 and Kα2). Structure: DFT lattice parameters and positions (PBE).

The 12 most intense peaks (2θ from 10° to 90°), sorted by position:
two_theta	d [Å]	Rel. int.
24.13	3.688	47
25.55	3.487	21
30.26	2.953	26
31.17	2.869	18
40.39	2.233	100
40.83	2.210	89
41.05	2.199	20
44.45	2.038	38
47.56	1.912	33
49.62	1.837	20
67.12	1.395	22
68.19	1.375	15

Atomic structure:
```
Al7Rh4
1.0
7.085 -1.912 0.000
7.085 1.912 0.000
-1.041 0.000 5.815
Al Rh
7 4
Cartesian
0.000 0.000 0.000 Al
3.536 0.000 1.990 Al
4.209 0.000 4.818 Al
6.137 0.000 1.678 Al
6.992 0.000 4.137 Al
8.920 0.000 0.997 Al
9.593 0.000 3.825 Al
0.955 0.000 2.461 Rh
1.468 0.000 5.351 Rh
11.661 0.000 0.464 Rh
12.173 0.000 3.354 Rh
```

[3]
This entry pairs a crystal structure of Al13Rh4 with its calculated powder diffraction line list. Radiation: Cu Kα (weighted mean of Kα1 and Kα2). Structure: DFT lattice parameters and positions (PBE).

The 12 most intense peaks (2θ from 10° to 90°), sorted by position:
two_theta	d [Å]	Rel. int.
21.47	4.138	39
21.88	4.062	36
23.88	3.726	36
24.28	3.666	44
25.72	3.464	34
26.42	3.374	34
27.08	3.293	16
42.24	2.139	85
42.40	2.132	26
42.87	2.109	40
42.95	2.106	39
43.34	2.088	100

Atomic structure:
```
Al13Rh4
1.0
7.827 -4.211 0.000
7.827 4.211 0.000
-3.934 0.000 12.185
Al Rh
39 12
Cartesian
0.000 0.000 0.000 Al
-2.313 0.000 8.160 Al
3.406 2.381 7.434 Al
1.825 2.314 11.966 Al
3.426 1.879 4.701 Al
4.365 1.870 2.072 Al
1.780 0.000 2.434 Al
0.301 0.000 8.925 Al
4.467 2.267 10.041 Al
7.253 2.267 2.144 Al
5.860 2.111 6.093 Al
1.954 0.000 6.263 Al
0.188 0.000 12.046 Al
8.314 2.381 4.751 Al
9.894 2.314 0.219 Al
3.595 0.000 8.670 Al
3.005 0.000 11.179 Al
5.482 0.000 3.954 Al
7.355 1.870 10.113 Al
8.293 1.879 7.484 Al
3.426 -1.879 4.701 Al
4.365 -1.870 2.072 Al
6.238 0.000 8.231 Al
8.715 0.000 1.006 Al
8.125 0.000 3.515 Al
1.825 -2.314 11.966 Al
3.406 -2.381 7.434 Al
11.532 0.000 0.139 Al
9.765 0.000 5.922 Al
5.860 -2.111 6.093 Al
4.467 -2.267 10.041 Al
7.253 -2.267 2.144 Al
11.419 0.000 3.260 Al
9.940 0.000 9.751 Al
7.355 -1.870 10.113 Al
8.293 -1.879 7.484 Al
9.894 -2.314 0.219 Al
8.314 -2.381 4.751 Al
14.032 0.000 4.025 Al
-0.448 0.000 6.353 Rh
-1.829 0.000 10.655 Rh
1.994 1.852 9.506 Rh
4.361 0.000 6.287 Rh
6.077 0.000 1.418 Rh
9.726 1.852 2.680 Rh
1.994 -1.852 9.506 Rh
5.643 0.000 10.767 Rh
7.359 0.000 5.899 Rh
9.726 -1.852 2.680 Rh
13.549 0.000 1.530 Rh
12.168 0.000 5.832 Rh
```

[4]
This entry pairs a crystal structure of ScAlRh with its calculated powder diffraction line list. Radiation: Cu Kα (weighted mean of Kα1 and Kα2). Structure: DFT lattice parameters and positions (PBE).

The 12 most intense peaks (2θ from 10° to 90°), sorted by position:
two_theta	d [Å]	Rel. int.
21.22	4.186	77
25.66	3.472	22
34.18	2.623	30
34.98	2.565	15
39.06	2.306	100
40.21	2.243	18
41.78	2.162	43
42.70	2.118	43
43.22	2.093	33
55.04	1.669	14
64.46	1.445	22
73.90	1.283	26

Atomic structure:
```
ScAlRh
1.0
5.247 0.000 0.000
0.000 5.527 0.000
0.000 0.000 6.944
Sc Al Rh
4 4 4
Cartesian
0.000 1.382 0.937 Sc
0.000 4.145 6.007 Sc
2.623 1.382 2.535 Sc
2.623 4.145 4.409 Sc
1.312 1.382 5.208 Al
1.312 4.145 1.736 Al
3.935 1.382 5.208 Al
3.935 4.145 1.736 Al
0.000 0.000 3.472 Rh
0.000 2.763 3.472 Rh
2.623 0.000 0.000 Rh
2.623 2.763 0.000 Rh
```

[5]
This entry pairs a crystal structure of Sc2Al5Rh3 with its calculated powder diffraction line list. Radiation: Cu Kα (weighted mean of Kα1 and Kα2). Structure: DFT lattice parameters and positions (PBE).

The 12 most intense peaks (2θ from 10° to 90°), sorted by position:
two_theta	d [Å]	Rel. int.
18.39	4.824	36
24.28	3.666	65
26.26	3.393	31
28.18	3.167	60
33.07	2.709	34
36.56	2.458	38
37.28	2.412	55
39.62	2.275	100
41.40	2.181	76
43.46	2.082	97
43.73	2.070	31
45.99	1.973	30

Atomic structure:
```
Sc2Al5Rh3
1.0
5.059 -5.924 0.000
5.059 5.924 0.000
-1.245 0.000 5.430
Sc Al Rh
4 10 6
Cartesian
2.797 3.309 4.964 Sc
5.453 3.309 3.180 Sc
3.420 -3.309 2.250 Sc
6.076 -3.309 0.465 Sc
4.748 5.893 1.357 Al
3.352 1.824 2.106 Al
1.687 0.524 5.162 Al
2.309 -0.524 2.448 Al
6.143 1.824 0.609 Al
2.730 -1.824 4.820 Al
6.563 0.524 2.982 Al
7.186 -0.524 0.267 Al
5.520 -1.824 3.324 Al
4.125 -5.893 4.072 Al
0.942 1.668 3.082 Rh
1.565 -1.668 0.367 Rh
4.125 0.360 4.072 Rh
4.748 -0.360 1.357 Rh
7.308 1.668 5.063 Rh
7.930 -1.668 2.348 Rh
```

[6]
This entry pairs a crystal structure of Sc2AlRh4 with its calculated powder diffraction line list. Radiation: Cu Kα (weighted mean of Kα1 and Kα2). Structure: DFT lattice parameters and positions (PBE).

The 12 most intense peaks (2θ from 10° to 90°), sorted by position:
two_theta	d [Å]	Rel. int.
27.85	3.204	23
29.67	3.011	40
41.14	2.194	100
42.46	2.129	46
51.54	1.773	17
57.53	1.602	9
61.61	1.505	15
66.06	1.414	8
68.92	1.363	7
74.06	1.280	17
76.78	1.241	30
89.29	1.097	10

Atomic structure:
```
Sc2AlRh4
1.0
6.022 0.000 0.000
0.000 6.022 0.000
0.000 0.000 6.408
Sc Al Rh
4 2 8
Cartesian
0.000 3.011 0.000 Sc
0.000 3.011 3.204 Sc
3.011 0.000 0.000 Sc
3.011 0.000 3.204 Sc
0.000 0.000 0.000 Al
3.011 3.011 3.204 Al
1.505 1.505 1.602 Rh
1.505 1.505 4.806 Rh
1.505 4.516 1.602 Rh
1.505 4.516 4.806 Rh
4.516 1.505 1.602 Rh
4.516 1.505 4.806 Rh
4.516 4.516 1.602 Rh
4.516 4.516 4.806 Rh
```

[7]
This entry pairs a crystal structure of Sc2Al5Tc2Rh with its calculated powder diffraction line list. Radiation: Cu Kα (weighted mean of Kα1 and Kα2). Structure: DFT lattice parameters and positions (PBE).

The 12 most intense peaks (2θ from 10° to 90°), sorted by position:
two_theta	d [Å]	Rel. int.
19.38	4.581	35
24.58	3.621	11
27.54	3.239	43
27.67	3.224	22
37.31	2.410	30
39.42	2.286	100
42.41	2.132	28
45.17	2.007	16
50.40	1.811	13
53.73	1.706	13
57.14	1.612	11
62.19	1.493	13

Atomic structure:
```
Sc2Al5Tc2Rh
1.0
10.243 0.000 0.000
0.000 10.243 0.000
0.000 0.000 3.224
Sc Al Tc Rh
4 10 4 2
Cartesian
1.925 3.196 0.000 Sc
3.196 8.318 0.000 Sc
7.047 1.925 0.000 Sc
8.318 7.047 0.000 Sc
0.000 5.122 1.612 Al
0.506 8.273 1.612 Al
1.970 0.506 1.612 Al
3.152 5.628 1.612 Al
4.616 3.152 1.612 Al
5.122 0.000 1.612 Al
5.628 7.092 1.612 Al
7.092 4.616 1.612 Al
8.273 9.737 1.612 Al
9.737 1.970 1.612 Al
1.349 6.470 0.000 Tc
3.773 1.349 0.000 Tc
6.470 8.894 0.000 Tc
8.894 3.773 0.000 Tc
0.000 0.000 0.000 Rh
5.122 5.122 0.000 Rh
```

[8]
This entry pairs a crystal structure of Al5SiRh6 with its calculated powder diffraction line list. Radiation: Cu Kα (weighted mean of Kα1 and Kα2). Structure: DFT lattice parameters and positions (PBE).

The 12 most intense peaks (2θ from 10° to 90°), sorted by position:
two_theta	d [Å]	Rel. int.
29.67	3.011	48
30.13	2.966	23
42.39	2.132	26
42.51	2.126	25
42.80	2.113	100
52.88	1.731	9
52.99	1.728	9
61.59	1.506	17
62.65	1.483	8
77.82	1.227	17
77.99	1.225	16
78.62	1.217	16

Atomic structure:
```
Al5SiRh6
1.0
-2.132 2.966 6.379
2.132 -2.966 6.379
2.132 2.966 -6.379
Al Si Rh
5 1 6
Cartesian
0.000 0.000 0.000 Al
2.132 0.000 2.121 Al
0.000 0.000 4.202 Al
0.000 0.000 8.557 Al
0.000 2.966 4.258 Al
0.000 2.966 0.000 Si
2.132 -1.459 4.300 Rh
2.132 1.526 0.000 Rh
0.000 1.507 2.080 Rh
2.132 1.459 4.300 Rh
0.000 1.440 6.379 Rh
0.000 4.425 2.080 Rh
```

[9]
This entry pairs a crystal structure of Th3AlSi2Rh9 with its calculated powder diffraction line list. Radiation: Cu Kα (weighted mean of Kα1 and Kα2). Structure: DFT lattice parameters and positions (PBE).

The 12 most intense peaks (2θ from 10° to 90°), sorted by position:
two_theta	d [Å]	Rel. int.
19.74	4.498	10
26.16	3.407	15
29.84	2.994	10
32.98	2.716	100
38.87	2.317	21
40.09	2.249	72
53.82	1.703	30
61.99	1.497	20
64.59	1.443	14
68.36	1.372	26
69.19	1.358	14
88.89	1.101	12

Atomic structure:
```
Th3AlSi2Rh9
1.0
6.813 0.000 0.000
-3.407 5.900 0.000
0.000 0.000 6.950
Th Al Si Rh
3 1 2 9
Cartesian
0.000 0.000 0.000 Th
0.000 3.934 4.630 Th
3.407 1.967 2.320 Th
0.000 0.000 3.475 Al
0.000 3.934 1.105 Si
3.407 1.967 5.845 Si
-1.703 2.950 0.000 Rh
0.000 2.055 2.351 Rh
-1.627 4.873 2.351 Rh
1.779 1.027 4.599 Rh
3.407 0.000 0.000 Rh
1.703 2.950 0.000 Rh
1.627 4.873 2.351 Rh
5.034 1.027 4.599 Rh
3.407 3.846 4.599 Rh
```

[10]
This entry pairs a crystal structure of Sr2Al2Rh with its calculated powder diffraction line list. Radiation: Cu Kα (weighted mean of Kα1 and Kα2). Structure: DFT lattice parameters and positions (PBE).

The 12 most intense peaks (2θ from 10° to 90°), sorted by position:
two_theta	d [Å]	Rel. int.
24.01	3.706	14
24.62	3.616	75
28.04	3.183	35
28.52	3.130	42
32.44	2.760	100
41.87	2.158	63
50.88	1.795	17
51.14	1.786	39
53.94	1.700	23
57.04	1.615	17
57.58	1.601	20
70.53	1.335	20

Atomic structure:
```
Sr2Al2Rh
1.0
4.316 0.000 0.000
-2.158 3.737 0.000
0.000 0.000 28.644
Sr Al Rh
6 6 3
Cartesian
0.000 0.000 2.016 Sr
0.000 0.000 26.628 Sr
0.000 2.492 17.080 Sr
0.000 2.492 21.112 Sr
2.158 1.246 7.532 Sr
2.158 1.246 11.564 Sr
0.000 0.000 5.298 Al
0.000 0.000 23.346 Al
0.000 2.492 13.798 Al
0.000 2.492 24.393 Al
2.158 1.246 4.250 Al
2.158 1.246 14.846 Al
0.000 0.000 14.322 Rh
0.000 2.492 4.774 Rh
2.158 1.246 23.870 Rh
```

[11]
This entry pairs a crystal structure of TaAlRh5 with its calculated powder diffraction line list. Radiation: Cu Kα (weighted mean of Kα1 and Kα2). Structure: DFT lattice parameters and positions (PBE).

The 12 most intense peaks (2θ from 10° to 90°), sorted by position:
two_theta	d [Å]	Rel. int.
13.47	6.575	26
34.31	2.614	39
41.19	2.192	12
41.97	2.153	100
45.01	2.014	44
55.94	1.644	8
62.64	1.483	14
65.54	1.424	14
74.51	1.273	15
76.11	1.251	8
80.43	1.194	17
80.94	1.188	29

Atomic structure:
```
TaAlRh5
1.0
4.028 0.000 0.000
0.000 4.028 0.000
0.000 0.000 6.575
Ta Al Rh
1 1 5
Cartesian
0.000 0.000 0.000 Ta
2.014 2.014 3.287 Al
0.000 2.014 1.832 Rh
0.000 2.014 4.743 Rh
2.014 0.000 1.832 Rh
2.014 0.000 4.743 Rh
2.014 2.014 0.000 Rh
```

[12]
This entry pairs a crystal structure of Tb2Al9Rh3 with its calculated powder diffraction line list. Radiation: Cu Kα (weighted mean of Kα1 and Kα2). Structure: DFT lattice parameters and positions (PBE).

The 12 most intense peaks (2θ from 10° to 90°), sorted by position:
two_theta	d [Å]	Rel. int.
16.39	5.409	30
25.18	3.537	27
25.39	3.508	54
30.07	2.972	50
30.25	2.955	100
36.91	2.435	34
37.06	2.426	68
37.90	2.374	45
41.15	2.193	91
41.56	2.173	43
52.15	1.754	29
57.18	1.611	41

Atomic structure:
```
Tb2Al9Rh3
1.0
6.518 -3.811 0.000
6.518 3.811 0.000
0.000 0.000 9.497
Tb Al Rh
4 18 6
Cartesian
4.411 2.543 7.123 Tb
8.626 2.543 7.123 Tb
4.411 -2.543 2.374 Tb
8.626 -2.543 2.374 Tb
4.339 2.527 0.712 Al
4.339 2.527 4.037 Al
6.518 2.828 2.374 Al
6.518 1.272 5.220 Al
6.518 1.272 9.025 Al
8.697 2.527 0.712 Al
8.697 2.527 4.037 Al
5.149 0.419 2.374 Al
5.149 -0.419 7.123 Al
7.887 0.419 2.374 Al
7.887 -0.419 7.123 Al
4.339 -2.527 5.460 Al
4.339 -2.527 8.785 Al
6.518 -1.272 0.471 Al
6.518 -1.272 4.277 Al
6.518 -2.828 7.123 Al
8.697 -2.527 5.460 Al
8.697 -2.527 8.785 Al
0.000 0.000 0.000 Rh
0.000 0.000 4.748 Rh
4.277 0.000 0.000 Rh
4.277 0.000 4.748 Rh
8.759 0.000 0.000 Rh
8.759 0.000 4.748 Rh
```